For V5CoO23, a structure optimized by DFT (GGA+U) gives the simulated X-ray powder pattern in this record (Cu Kα X-rays).
Lines closer than 0.1° are merged.

Structure:
```
58
Lattice="8.6321 0.0000 0.0000 3.3181 10.0102 0.0000 3.3571 2.9831 9.8846" Properties=species:S:1:pos:R:3 pbc="T T T"
V 1.8633 2.1738 0.4354
V 3.1539 3.6448 2.9622
V 5.3347 6.8026 7.4047
V 3.2867 5.1569 0.1389
V 6.7123 9.6528 7.1944
V 8.5951 3.3404 2.6902
V 12.0207 7.8364 9.7457
V 9.9726 6.1907 2.4799
V 12.1534 9.3485 6.9224
V 13.4441 10.8195 9.4492
Co 5.7915 8.1254 2.9084
Co 9.5159 4.8678 6.9761
O 2.6946 5.4932 3.3768
O 2.5809 6.7916 0.9087
O 5.0741 8.4979 8.6765
O 5.1517 9.8620 6.2320
O 6.2349 11.0431 8.3499
O 4.3901 7.6881 3.6940
O 5.2539 9.7988 3.2282
O 5.3775 3.7487 9.5162
O 3.1179 2.1934 1.7333
O 4.9713 8.2387 0.9007
O 6.3736 6.4160 9.1839
O 4.2458 3.2334 4.0740
O 5.0499 3.5628 6.8846
O 5.6507 5.2490 6.6693
O 4.2082 4.5782 1.4851
O 6.6532 7.7436 6.7424
O 7.6506 8.8927 8.8378
O 7.8854 10.2558 6.2629
O 6.0999 8.6104 0.3500
O 6.9777 8.2486 4.0687
O 5.9012 2.7564 6.6013
O 6.2894 6.5814 2.3261
O 7.0416 8.7775 1.2380
O 8.2658 4.2158 8.6466
O 9.0179 6.4119 7.5585
O 9.4061 10.2369 3.2833
O 8.3297 4.7447 5.8159
O 9.2075 4.3829 9.5346
O 7.4220 2.7375 3.6217
O 7.6567 4.1006 1.0468
O 8.6542 5.2497 3.1422
O 11.0991 8.4151 8.3995
O 9.6567 7.7443 3.2152
O 10.2574 9.4305 3.0000
O 11.0616 9.7599 5.8106
O 8.9337 6.5773 0.7007
O 10.3361 4.7546 8.9839
O 12.1895 10.7999 8.1513
O 9.9299 9.2446 0.3684
O 10.0534 3.1944 6.6564
O 10.9172 5.3052 6.1906
O 9.0724 1.9502 1.5347
O 10.1556 3.1313 3.6526
O 10.2333 4.4954 1.2081
O 12.7264 6.2016 8.9759
O 12.6128 7.5001 6.5078
```

The 10 most intense peaks (2θ from 10° to 80°), low angle first:
| d_spacing | two_theta | I_rel | (hkl) |
| --- | --- | --- | --- |
| 7.990 | 11.07 | 96 | 1 0 0 |
| 7.241 | 12.22 | 100 | 1 1 1 |
| 5.543 | 15.99 | 25 | 1 -1 0 |
| 4.942 | 17.95 | 24 | 0 0 2 |
| 4.795 | 18.50 | 44 | 0 2 0 |
| 3.995 | 22.25 | 45 | 2 0 0 |
| 3.620 | 24.59 | 40 | 2 2 2 |
| 3.295 | 27.06 | 39 | 0 0 3 |
| 2.874 | 31.12 | 21 | 2 0 3 |
| 2.083 | 43.44 | 22 | 3 3 -1 |